Record 1
Computed PXRD pattern
Compound: Na3PdCl4
Radiation: a wavelength of 1.5418 Å
Structure: a crystal structure in Alexandria, relaxed with GGA-PBE
Intensities are scaled so that the largest is 100.

Most intense lines, 2θ = 5–70°, low angle first:
Position (°2θ), intensity, h k l
14.3, 100, 0 1 1
19.0, 51, 1 1 0
20.2, 32, 1 0 1
22.4, 87, 0 0 2
24.2, 34, 0 1 2
29.5, 58, 0 3 1
33.8, 83, 2 0 0
36.5, 51, 0 4 0
41.0, 32, 2 0 2
50.6, 44, 2 4 0

Structure:
abc: 5.2996 9.8407 7.9305
angles: 90.00 90.00 90.00
Space group Pmmn (No. 59, origin choice 2)
Symmetry-distinct sites (fractional):
Na 0.2500 0.0283 0.1516 [4 per cell]
Na 0.2500 0.7500 0.5796 [2 per cell]
Pd 0.2500 0.2500 0.7828 [2 per cell]
Cl 0.2500 0.0067 0.7984 [4 per cell]
Cl 0.2500 0.2500 0.3464 [2 per cell]
Cl 0.2500 0.7500 0.2272 [2 per cell]

***

Record 2
Computed PXRD pattern
Compound: Na2PdCl5
Radiation: a wavelength of 1.5418 Å
Structure: a crystal structure in Alexandria, relaxed with GGA-PBE
Intensities are scaled so that the largest is 100.

Most intense lines, 2θ = 5–70°, low angle first:
Position (°2θ), intensity, h k l
13.5, 73, 0 2 0
14.4, 42, 0 0 2
15.3, 59, 0 2 1
18.0, 56, 1 1 0
19.4, 100, 1 1 1
19.7, 29, 0 2 2
25.6, 53, 0 2 3
33.8, 60, 2 0 0
35.0, 86, 0 4 3
49.4, 59, 2 4 3

Structure:
abc: 5.3052 13.1505 12.3239
angles: 90.00 90.00 90.00
Space group Cmcm (No. 63)
Symmetry-distinct sites (fractional):
Na 0.0000 0.1602 0.0784 [8 per cell]
Pd 0.0000 0.1813 0.7500 [4 per cell]
Cl 0.0000 0.0558 0.6166 [8 per cell]
Cl 0.0000 0.3063 0.6118 [8 per cell]
Cl 0.0000 0.3088 0.2500 [4 per cell]

***

Record 3
Computed PXRD pattern
Compound: Na6PdCl8
Radiation: a wavelength of 1.5418 Å
Structure: a crystal structure in Alexandria, relaxed with GGA-PBE
Intensities are scaled so that the largest is 100.

Most intense lines, 2θ = 5–70°, low angle first:
Position (°2θ), intensity, h k l
13.6, 72, 1 1 1
15.7, 7, 2 0 0
26.1, 23, 3 1 1
31.7, 100, 4 0 0
41.5, 19, 5 1 1
45.4, 64, 4 4 0
47.6, 16, 5 3 1
56.4, 20, 4 4 4
58.3, 11, 5 5 1
66.1, 9, 8 0 0

Structure:
abc: 11.3030 11.3030 11.3030
angles: 90.00 90.00 90.00
Space group Fm-3m (No. 225)
Symmetry-distinct sites (fractional):
Na 0.0000 0.2500 0.2500 [24 per cell]
Pd 0.0000 0.0000 0.0000 [4 per cell]
Cl 0.0000 0.0000 0.2280 [24 per cell]
Cl 0.2500 0.2500 0.2500 [8 per cell]

***

Record 4
Computed PXRD pattern
Compound: Rb2NaPdCl6
Radiation: a wavelength of 1.5418 Å
Structure: a crystal structure in Alexandria, relaxed with GGA-PBE
Intensities are scaled so that the largest is 100.

Most intense lines, 2θ = 5–70°, low angle first:
Position (°2θ), intensity, h k l
13.8, 64, 0 0 6
14.9, 53, 0 1 2
24.7, 98, 1 1 0
27.2, 38, 1 0 10
28.4, 30, 1 1 6
30.9, 84, 2 0 5
33.0, 100, 0 2 7
37.1, 42, 0 2 10
38.7, 27, 2 0 11
50.6, 61, 2 2 0

Structure:
abc: 7.2170 7.2170 38.4431
angles: 90.00 90.00 120.00
Space group R-3m (No. 166, hexagonal axes)
Symmetry-distinct sites (fractional):
Rb 0.0000 0.0000 0.1277 [6 per cell]
Rb 0.0000 0.0000 0.3008 [6 per cell]
Na 0.0000 0.0000 0.4140 [6 per cell]
Pd 0.0000 0.0000 0.0000 [3 per cell]
Pd 0.0000 0.0000 0.5000 [3 per cell]
Cl 0.0136 0.5068 0.1306 [18 per cell]
Cl 0.0162 0.5081 0.7041 [18 per cell]

***

Record 5
Computed PXRD pattern
Compound: NaPm3Cl8
Radiation: a wavelength of 1.5418 Å
Structure: a crystal structure in Alexandria, relaxed with GGA-PBE
Intensities are scaled so that the largest is 100.

Most intense lines, 2θ = 5–70°, low angle first:
Position (°2θ), intensity, h k l
12.5, 99, 0 0 3
13.8, 40, 1 0 1
26.1, 18, 1 1 3
26.7, 44, 0 2 1
31.4, 100, 0 2 4
33.9, 21, 2 0 5
40.0, 21, 0 2 7
43.4, 38, 2 0 8
46.6, 36, 2 2 0
48.4, 20, 2 2 3

Structure:
abc: 7.8030 7.8030 21.1813
angles: 90.00 90.00 120.00
Space group R-3m (No. 166, hexagonal axes)
Symmetry-distinct sites (fractional):
Na 0.0000 0.0000 0.0000 [3 per cell]
Pm 0.0000 0.5000 0.5000 [9 per cell]
Cl 0.0000 0.0000 0.2485 [6 per cell]
Cl 0.0080 0.5040 0.7548 [18 per cell]

***

Record 6
Computed PXRD pattern
Compound: NaPrCl4
Radiation: a wavelength of 1.5418 Å
Structure: a crystal structure in Alexandria, relaxed with GGA-PBE
Intensities are scaled so that the largest is 100.

Most intense lines, 2θ = 5–70°, low angle first:
Position (°2θ), intensity, h k l
12.6, 100, 1 0 0
18.0, 88, 0 1 1
21.3, 80, 1 1 -1
22.6, 70, 1 1 1
27.4, 46, 1 0 -2
28.6, 48, 1 2 0
32.1, 43, 2 1 1
36.3, 36, 2 2 0
36.4, 37, 0 2 2
43.4, 40, 1 3 1

Structure:
abc: 7.0805 6.9585 7.0420
angles: 90.00 95.17 90.00
Space group P2_1/c (No. 14)
Symmetry-distinct sites (fractional):
Na 0.0000 0.0000 0.0000 [2 per cell]
Pr 0.5000 0.0000 0.5000 [2 per cell]
Cl 0.1672 0.1606 0.3508 [4 per cell]
Cl 0.3524 0.6608 0.3232 [4 per cell]

***

Record 7
Computed PXRD pattern
Compound: NaPrZnCl6
Radiation: a wavelength of 1.5418 Å
Structure: a crystal structure in Alexandria, relaxed with GGA-PBE
Intensities are scaled so that the largest is 100.

Most intense lines, 2θ = 5–70°, low angle first:
Position (°2θ), intensity, h k l
14.3, 67, 0 0 2
15.0, 40, 1 0 0
20.8, 68, 1 0 2
26.2, 19, 1 1 0
30.0, 100, 1 1 2
39.3, 88, 1 1 4
43.2, 21, 2 1 2
46.2, 43, 3 0 0
51.7, 23, 2 -1 6
62.2, 19, 4 -2 4

Structure:
abc: 6.8017 6.8017 12.4216
angles: 90.00 90.00 120.00
Space group P-31c (No. 163)
Symmetry-distinct sites (fractional):
Na 0.0000 0.0000 0.0000 [2 per cell]
Pr 0.3333 0.6667 0.2500 [2 per cell]
Zn 0.3333 0.6667 0.7500 [2 per cell]
Cl 0.0305 0.3692 0.6324 [12 per cell]

***

Record 8
Computed PXRD pattern
Compound: Na2PtCl6
Radiation: a wavelength of 1.5418 Å
Structure: a crystal structure in Alexandria, relaxed with GGA-PBE
Intensities are scaled so that the largest is 100.

Most intense lines, 2θ = 5–70°, low angle first:
Position (°2θ), intensity, h k l
15.7, 100, 0 1 1
15.9, 42, 1 0 0
16.4, 44, 1 0 -2
18.4, 77, 1 1 -1
25.8, 19, 1 1 1
30.2, 28, 1 2 0
30.8, 30, 2 1 -1
31.4, 27, 1 0 -4
37.3, 35, 0 0 4
41.5, 18, 2 2 0

Structure:
abc: 6.6764 6.9695 11.5149
angles: 90.00 123.28 90.00
Space group P2_1/c (No. 14)
Symmetry-distinct sites (fractional):
Na 0.2032 0.0842 0.2329 [4 per cell]
Pt 0.5000 0.0000 0.0000 [2 per cell]
Cl 0.1671 0.1863 0.9487 [4 per cell]
Cl 0.2647 0.7206 0.9402 [4 per cell]
Cl 0.3872 0.0337 0.7686 [4 per cell]

***

Record 9
Computed PXRD pattern
Compound: NaPtCl2
Radiation: a wavelength of 1.5418 Å
Structure: a crystal structure in Alexandria, relaxed with GGA-PBE
Intensities are scaled so that the largest is 100.

Most intense lines, 2θ = 5–70°, low angle first:
Position (°2θ), intensity, h k l
17.9, 85, 1 0 1
25.0, 26, 1 0 3
26.9, 100, 1 1 2
38.6, 18, 2 1 1
42.4, 44, 2 0 4
42.6, 19, 2 1 3
44.7, 25, 1 1 6
48.7, 14, 2 2 0
56.5, 24, 3 1 2
68.3, 14, 3 1 6

Structure:
abc: 5.2848 5.2848 14.4708
angles: 90.00 90.00 90.00
Space group I-42d (No. 122)
Symmetry-distinct sites (fractional):
Na 0.0000 0.0000 0.0000 [4 per cell]
Pt 0.0000 0.0000 0.5000 [4 per cell]
Cl 0.1991 0.2500 0.6250 [8 per cell]

***

Record 10
Computed PXRD pattern
Compound: Na3PtCl6
Radiation: a wavelength of 1.5418 Å
Structure: a crystal structure in Alexandria, relaxed with GGA-PBE
Intensities are scaled so that the largest is 100.

Most intense lines, 2θ = 5–70°, low angle first:
Position (°2θ), intensity, h k l
15.2, 65, 1 0 0
15.3, 100, 0 1 1
16.4, 45, 1 0 -2
17.4, 39, 0 0 2
18.3, 85, 1 1 -1
24.5, 43, 1 1 1
26.1, 30, 1 1 -3
28.4, 39, 1 0 2
30.4, 31, 1 2 -2
40.9, 32, 1 3 -1

Structure:
abc: 6.7345 7.0080 11.7872
angles: 90.00 119.91 90.00
Space group P2_1/c (No. 14)
Symmetry-distinct sites (fractional):
Na 0.0000 0.0000 0.0000 [2 per cell]
Na 0.2807 0.0894 0.7627 [4 per cell]
Pt 0.5000 0.0000 0.5000 [2 per cell]
Cl 0.1286 0.0411 0.2613 [4 per cell]
Cl 0.2930 0.6713 0.0787 [4 per cell]
Cl 0.4025 0.2121 0.0634 [4 per cell]

***

Record 11
Computed PXRD pattern
Compound: Na6Pt3Cl14
Radiation: a wavelength of 1.5418 Å
Structure: a crystal structure in Alexandria, relaxed with GGA-PBE
Intensities are scaled so that the largest is 100.

Most intense lines, 2θ = 5–70°, low angle first:
Position (°2θ), intensity, h k l
16.4, 81, 0 1 1
17.3, 100, 1 1 0
23.9, 47, 2 0 1
29.6, 54, 3 -1 1
30.1, 19, 3 0 0
31.5, 31, 2 -1 2
40.3, 29, 3 0 2
44.1, 19, 4 -2 2
46.8, 30, 4 1 0
48.3, 27, 1 2 3

Structure:
abc: 10.2727 10.2727 6.8224
angles: 90.00 90.00 120.00
Space group P3 (No. 143)
Symmetry-distinct sites (fractional):
Na 0.0520 0.6032 0.0000 [3 per cell]
Na 0.2453 0.0189 0.5022 [3 per cell]
Pt 0.0000 0.0000 0.9527 [1 per cell]
Pt 0.3333 0.6667 0.4299 [1 per cell]
Pt 0.6667 0.3333 0.4828 [1 per cell]
Cl 0.0000 0.0000 0.2993 [1 per cell]
Cl 0.0256 0.8154 0.7575 [3 per cell]
Cl 0.1678 0.4492 0.2260 [3 per cell]
Cl 0.3333 0.6667 0.7740 [1 per cell]
Cl 0.4561 0.2672 0.2821 [3 per cell]
Cl 0.5187 0.1232 0.6833 [3 per cell]

***

Record 12
Computed PXRD pattern
Compound: NaPu3Cl8
Radiation: a wavelength of 1.5418 Å
Structure: a crystal structure in Alexandria, relaxed with GGA-PBE
Intensities are scaled so that the largest is 100.

Most intense lines, 2θ = 5–70°, low angle first:
Position (°2θ), intensity, h k l
13.0, 28, 1 1 0
14.3, 100, 2 0 -1
15.4, 19, 2 0 0
24.8, 74, 2 0 1
26.2, 23, 2 2 0
31.1, 85, 4 0 0
34.5, 19, 4 2 -1
42.9, 35, 2 2 2
45.4, 23, 0 2 3
46.4, 18, 6 2 -2

Structure:
abc: 13.2921 8.4418 7.8957
angles: 90.00 120.39 90.00
Space group C2/m (No. 12)
Symmetry-distinct sites (fractional):
Na 0.0000 0.0000 0.0000 [2 per cell]
Pu 0.0000 0.5000 0.0000 [2 per cell]
Pu 0.2500 0.2500 0.5000 [4 per cell]
Cl 0.0081 0.2541 0.2449 [8 per cell]
Cl 0.2461 0.0000 0.2635 [4 per cell]
Cl 0.2458 0.5000 0.2556 [4 per cell]